1.
Starting from DFT lattice parameters and positions (GGA+U), the X-ray diffraction stick pattern of RbVS2O8 was calculated for Cu Ka.

Structure:
```
data_RbVS2O8
_cell_length_a 4.9247
_cell_length_b 4.9247
_cell_length_c 25.5630
_cell_angle_alpha 90.00
_cell_angle_beta 90.00
_cell_angle_gamma 120.00
_space_group_name_H-M_alt 'R -3'
_space_group_IT_number 148
_space_group_name_Hall '-R 3'
loop_
_atom_site_label
_atom_site_type_symbol
_atom_site_fract_x
_atom_site_fract_y
_atom_site_fract_z
Rb1 Rb 0.0000 0.0000 0.0000
V1 V 0.0000 0.0000 0.5000
S1 S 0.0000 0.0000 0.2336
O1 O 0.0000 0.0000 0.2908
O2 O 0.0297 0.6286 0.8805
```

Largest 12 diffraction maxima, in order of rising 2θ, 15 to 90 degrees two-theta:
two_theta	intensity	hkl
25.10	1000	1 0 4
31.50	78	0 0 9
35.09	166	0 1 8
36.49	237	1 1 0
38.04	88	2 -1 3
41.17	81	1 0 10
42.40	112	1 1 6
44.81	104	0 2 4
51.52	89	2 0 8
57.19	97	2 -1 12
59.11	127	3 -1 4
65.69	95	3 0 0



2.
Starting from DFT lattice parameters and positions (GGA+U), the X-ray diffraction stick pattern of RbVSO6 was calculated for Cu Ka.

Structure:
```
data_RbVSO6
_cell_length_a 5.6101
_cell_length_b 9.1705
_cell_length_c 11.3168
_cell_angle_alpha 90.00
_cell_angle_beta 90.00
_cell_angle_gamma 90.00
_space_group_name_H-M_alt 'P 21 21 21'
_space_group_IT_number 19
loop_
_space_group_symop_operation_xyz
'x,y,z'
'-x+1/2,-y,z+1/2'
'x+1/2,-y+1/2,-z'
'-x,y+1/2,-z+1/2'
loop_
_atom_site_label
_atom_site_type_symbol
_atom_site_fract_x
_atom_site_fract_y
_atom_site_fract_z
Rb1 Rb 0.0121 0.1823 0.1485
V1 V 0.0290 0.6527 0.9413
S1 S 0.0191 0.0579 0.7846
O1 O 0.0232 0.1484 0.8901
O2 O 0.0241 0.4989 0.0126
O3 O 0.0489 0.9025 0.8046
O4 O 0.1955 0.2614 0.4890
O5 O 0.2053 0.1116 0.6935
O6 O 0.2061 0.5885 0.7898
```

Largest 12 diffraction maxima, in order of rising 2θ, 15 to 90 degrees two-theta:
two_theta	intensity	hkl
24.36	854	1 1 2
25.08	1000	1 2 0
25.53	430	0 1 3
26.31	390	1 2 1
30.17	484	1 1 3
31.90	350	2 0 0
33.32	262	0 3 2
41.29	385	2 1 3
43.10	185	1 0 5
44.64	146	0 2 5
46.80	150	2 3 2
67.65	164	1 3 7



- Number 2 is which compound?
  RbVSO6